(1)
For CaBiAsO5, a GGA-PBE-relaxed structure gives the computed powder diffraction line list in this record (CuKα).
Kinematic intensities with the Lorentz-polarization factor, no thermal factor.

The 12 most intense peaks (2θ = 15–90°), by intensity:
- (2 1 1), 2θ = 28.2°, I 100
- (0 1 3), 2θ = 32.0°, I 39
- (0 2 2), 2θ = 29.7°, I 33
- (0 2 0), 2θ = 21.9°, I 29
- (2 0 2), 2θ = 31.3°, I 29
- (2 2 2), 2θ = 38.5°, I 28
- (2 3 3), 2θ = 51.8°, I 28
- (2 1 5), 2θ = 58.4°, I 23
- (0 3 1), 2θ = 34.6°, I 22
- (2 2 0), 2θ = 32.7°, I 21
- (2 0 4), 2θ = 47.5°, I 19
- (0 2 1), 2θ = 24.1°, I 19

Atomic structure:
Cell: 7.4328 8.1243 8.9367 Å, 90.00 90.00 90.00°
Space group P2_12_12_1 (No. 19)
Inequivalent atoms, fractional coordinates:
Ca 0.0092 0.1213 0.3145 x4
Bi 0.2397 0.7335 0.4932 x4
As 0.0031 0.8830 0.8428 x4
O 0.0060 0.2185 0.5433 x4
O 0.0281 0.0626 0.9520 x4
O 0.0313 0.8428 0.3604 x4
O 0.1878 0.8725 0.7249 x4
O 0.1958 0.4064 0.7555 x4

---

(2)
For Sr3CaBi2As, a GGA-PBE-relaxed structure gives the computed powder diffraction line list in this record (CuKα).
Kinematic intensities with the Lorentz-polarization factor, no thermal factor.

The 12 most intense peaks (2θ = 15–90°), by intensity:
- (1 1 0), 2θ = 22.5°, I 100
- (1 1 4), 2θ = 30.5°, I 88
- (0 2 0), 2θ = 31.4°, I 49
- (2 0 0), 2θ = 32.7°, I 44
- (1 0 5), 2θ = 30.3°, I 38
- (2 2 0), 2θ = 46.0°, I 34
- (1 2 5), 2θ = 44.2°, I 27
- (1 0 3), 2θ = 22.2°, I 27
- (0 1 5), 2θ = 29.9°, I 25
- (1 1 2), 2θ = 24.7°, I 21
- (1 2 3), 2θ = 38.8°, I 19
- (0 0 6), 2θ = 30.6°, I 19

Atomic structure:
Cell: 5.4755 5.7012 17.5306 Å, 90.00 90.00 90.00°
Space group Immm (No. 71)
Inequivalent atoms, fractional coordinates:
Sr 0.0000 0.0000 0.0000 x2
Sr 0.0000 0.5000 0.1750 x4
Ca 0.0000 0.0000 0.5000 x2
Bi 0.0000 0.5000 0.3681 x4
As 0.0000 0.5000 0.0000 x2